For Ba4Nb3VO12, a cell relaxed with GGA+U gives the computed powder diffraction line list in this record (Cu Kα (weighted mean of Kα1 and Kα2)).
Neutral-atom scattering factors, no anomalous dispersion.

Largest 10 diffraction maxima, in order of falling intensity, 10° ≤ 2θ ≤ 90°:
two_theta	Rel. int.
30.49	100.0
54.18	39.4
43.66	31.9
88.15	21.0
63.45	19.5
72.02	17.2
37.57	8.8
80.18	6.4
76.14	2.7
21.43	2.3

Crystal structure
```
Ba4Nb3VO12
1.0
-4.147 4.147 4.147
4.147 -4.147 4.147
4.147 4.147 -4.147
Ba Nb V O
4 3 1 12
direct
0.000 0.000 0.500
0.000 0.500 0.000
0.500 0.000 0.000
0.500 0.500 0.500
0.000 0.500 0.500
0.500 0.000 0.500
0.500 0.500 0.000
0.000 0.000 0.000
0.000 0.258 0.258
0.000 0.742 0.742
0.250 0.500 0.750
0.250 0.750 0.500
0.258 0.000 0.258
0.258 0.258 0.000
0.500 0.250 0.750
0.500 0.750 0.250
0.742 0.000 0.742
0.742 0.742 0.000
0.750 0.250 0.500
0.750 0.500 0.250
```